# Sc5URu6
Theoretical powder X-ray diffraction pattern, Cu Kα X-rays. Input: a DFT-relaxed cell (PBE, Alexandria).

Cell and atoms:
```
data_Sc5URu6
_cell_length_a 7.185
_cell_length_b 7.185
_cell_length_c 6.490
_cell_angle_alpha 90.00
_cell_angle_beta 90.00
_cell_angle_gamma 142.53
_space_group_name_H-M_alt 'P 1'
_space_group_IT_number 1
loop_
_space_group_symop_operation_xyz
'x,y,z'
loop_
_atom_site_label
_atom_site_fract_x
_atom_site_fract_y
_atom_site_fract_z
Sc1 0.000 0.000 0.000
Sc2 0.328 0.672 0.500
Sc3 0.332 0.668 0.000
Sc4 0.668 0.332 0.000
Sc5 0.672 0.328 0.500
U1 0.000 0.000 0.500
Ru1 0.160 0.840 0.259
Ru2 0.160 0.840 0.741
Ru3 0.500 0.500 0.259
Ru4 0.500 0.500 0.741
Ru5 0.840 0.160 0.259
Ru6 0.840 0.160 0.741
```

The 8 most intense peaks (2θ = 5–70°), low angle first:
two_theta	d/Å	intensity
13.01	6.805	12.9
13.64	6.490	13.0
20.32	4.371	9.2
24.55	3.625	9.9
39.03	2.308	25.9
39.32	2.291	100.0
39.74	2.268	23.9
56.92	1.618	16.3